Starting from the PBE geometry in the Materials Project, the X-ray diffraction stick pattern of Te2AuI was computed for Cu Ka.

Cell and atoms:
a b c (Å): 12.9785 4.1402 4.8256
angles (deg): 90.00 90.00 90.00
Atoms (fractional coordinates):
Te 0.0802 0.0000 0.1967
Te 0.4198 0.0000 0.1967
Te 0.5802 0.0000 0.8033
Te 0.9198 0.0000 0.8033
Au 0.0000 0.5000 0.5000
Au 0.5000 0.5000 0.5000
I 0.2500 0.5000 0.7350
I 0.7500 0.5000 0.2650

Peak list (10 most intense, 5° ≤ 2θ ≤ 70°, by angle)
- 2θ 13.65, I 81
- 2θ 27.69, I 100
- 2θ 28.40, I 61
- 2θ 29.24, I 76
- 2θ 31.64, I 58
- 2θ 35.14, I 77
- 2θ 43.73, I 37
- 2θ 45.71, I 72
- 2θ 52.55, I 33
- 2θ 57.21, I 34

Starting from the PBE geometry in the Materials Project, the X-ray diffraction stick pattern of In2Au was computed for Cu Ka.

Cell and atoms:
a b c (Å): 6.6931 6.6931 6.6931
angles (deg): 90.00 90.00 90.00
Atoms (fractional coordinates):
In 0.2500 0.2500 0.2500
In 0.2500 0.2500 0.7500
In 0.2500 0.7500 0.2500
In 0.2500 0.7500 0.7500
In 0.7500 0.2500 0.2500
In 0.7500 0.2500 0.7500
In 0.7500 0.7500 0.2500
In 0.7500 0.7500 0.7500
Au 0.0000 0.0000 0.0000
Au 0.0000 0.5000 0.5000
Au 0.5000 0.0000 0.5000
Au 0.5000 0.5000 0.0000

Peak list (7 most intense, 5° ≤ 2θ ≤ 70°, by angle)
- 2θ 23.02, I 50
- 2θ 26.64, I 1
- 2θ 38.03, I 100
- 2θ 44.92, I 27
- 2θ 54.87, I 17
- 2θ 60.27, I 11
- 2θ 68.70, I 35

Starting from the PBE geometry in the Materials Project, the X-ray diffraction stick pattern of In3Au10 was computed for Cu Ka.

Cell and atoms:
a b c (Å): 10.9073 10.9073 4.7968
angles (deg): 90.00 90.00 120.00
Atoms (fractional coordinates):
In 0.1054 0.3614 0.2500
In 0.2560 0.8946 0.2500
In 0.3614 0.2560 0.7500
In 0.6386 0.7440 0.2500
In 0.7440 0.1054 0.7500
In 0.8946 0.6386 0.7500
Au 0.0258 0.5903 0.2500
Au 0.0581 0.1806 0.7500
Au 0.1225 0.9419 0.7500
Au 0.1806 0.1225 0.2500
Au 0.2040 0.7156 0.7500
Au 0.2844 0.4885 0.7500
Au 0.3333 0.6667 0.2500
Au 0.4097 0.4355 0.2500
Au 0.4355 0.0258 0.7500
Au 0.4885 0.2040 0.2500
Au 0.5115 0.7960 0.7500
Au 0.5645 0.9742 0.2500
Au 0.5903 0.5645 0.7500
Au 0.6667 0.3333 0.7500
Au 0.7156 0.5115 0.2500
Au 0.7960 0.2844 0.2500
Au 0.8194 0.8775 0.7500
Au 0.8775 0.0581 0.2500
Au 0.9419 0.8194 0.2500
Au 0.9742 0.4097 0.7500

Peak list (10 most intense, 5° ≤ 2θ ≤ 70°, by angle)
- 2θ 16.25, I 1
- 2θ 24.72, I 1
- 2θ 24.94, I 1
- 2θ 26.48, I 2
- 2θ 34.23, I 24
- 2θ 37.50, I 25
- 2θ 39.18, I 100
- 2θ 51.67, I 15
- 2θ 61.28, I 18
- 2θ 68.78, I 19

Starting from the PBE geometry in the Materials Project, the X-ray diffraction stick pattern of InAu3 was computed for Cu Ka.

Cell and atoms:
a b c (Å): 3.1606 3.1606 9.0576
angles (deg): 90.00 90.00 120.00
Atoms (fractional coordinates):
In 0.0000 0.0000 0.0000
Au 0.0000 0.0000 0.5000
Au 0.6667 0.3333 0.2484
Au 0.6667 0.3333 0.7516

Peak list (10 most intense, 5° ≤ 2θ ≤ 70°, by angle)
- 2θ 9.77, I 5
- 2θ 19.60, I 1
- 2θ 32.72, I 26
- 2θ 34.22, I 2
- 2θ 38.43, I 100
- 2θ 39.81, I 20
- 2θ 44.69, I 1
- 2θ 52.44, I 14
- 2θ 58.40, I 20
- 2θ 68.57, I 3

Starting from the PBE geometry in the Materials Project, the X-ray diffraction stick pattern of InAu3 was computed for Cu Ka.

Cell and atoms:
a b c (Å): 4.8377 5.8496 5.4077
angles (deg): 90.00 90.00 90.00
Atoms (fractional coordinates):
In 0.2500 0.2500 0.1678
In 0.7500 0.7500 0.8322
Au 0.2500 0.5018 0.6665
Au 0.2500 0.7500 0.1665
Au 0.2500 0.9982 0.6665
Au 0.7500 0.0018 0.3335
Au 0.7500 0.2500 0.8335
Au 0.7500 0.4982 0.3335

Peak list (10 most intense, 5° ≤ 2θ ≤ 70°, by angle)
- 2θ 33.13, I 14
- 2θ 34.87, I 24
- 2θ 37.17, I 40
- 2θ 38.13, I 56
- 2θ 39.68, I 100
- 2θ 51.88, I 15
- 2θ 60.32, I 20
- 2θ 63.63, I 9
- 2θ 67.65, I 10
- 2θ 68.70, I 20

Starting from the PBE geometry in the Materials Project, the X-ray diffraction stick pattern of K3InAu5 was computed for Cu Ka.

Cell and atoms:
a b c (Å): 11.2379 11.2379 11.2379
angles (deg): 150.57 54.65 135.05
Atoms (fractional coordinates):
K 0.1309 0.8809 0.2500
K 0.2065 0.1208 0.0857
K 0.4649 0.8792 0.5857
K 0.5351 0.1208 0.4143
K 0.7935 0.8792 0.9143
K 0.8691 0.1191 0.7500
In 0.4152 0.6652 0.7500
In 0.5848 0.3348 0.2500
Au 0.0000 0.5000 0.5000
Au 0.1099 0.4646 0.6453
Au 0.1861 0.0000 0.6861
Au 0.1861 0.5000 0.1861
Au 0.3193 0.4646 0.8547
Au 0.5000 0.5000 0.0000
Au 0.6807 0.5354 0.1453
Au 0.8139 0.0000 0.3139
Au 0.8139 0.5000 0.8139
Au 0.8901 0.5354 0.3547

Peak list (10 most intense, 5° ≤ 2θ ≤ 70°, by angle)
- 2θ 8.86, I 51
- 2θ 16.85, I 72
- 2θ 18.66, I 100
- 2θ 32.85, I 42
- 2θ 34.08, I 58
- 2θ 37.84, I 48
- 2θ 38.94, I 21
- 2θ 40.22, I 29
- 2θ 41.86, I 23
- 2θ 48.44, I 25

Starting from the PBE geometry in the Materials Project, the X-ray diffraction stick pattern of KIn2Au4 was computed for Cu Ka.

Cell and atoms:
a b c (Å): 7.5764 7.5764 7.5764
angles (deg): 108.77 108.77 110.88
Atoms (fractional coordinates):
K 0.2500 0.2500 0.0000
K 0.7500 0.7500 0.0000
In 0.1467 0.6467 0.7933
In 0.3533 0.1467 0.5000
In 0.6467 0.8533 0.5000
In 0.8533 0.3533 0.2067
Au 0.0151 0.8151 0.5000
Au 0.1849 0.6849 0.1999
Au 0.3151 0.5151 0.5000
Au 0.4849 0.9849 0.8001
Au 0.5151 0.0151 0.1999
Au 0.6849 0.4849 0.5000
Au 0.8151 0.3151 0.8001
Au 0.9849 0.1849 0.5000

Peak list (10 most intense, 5° ≤ 2θ ≤ 70°, by angle)
- 2θ 14.19, I 45
- 2θ 20.13, I 15
- 2θ 24.83, I 8
- 2θ 32.08, I 51
- 2θ 38.84, I 100
- 2θ 40.91, I 22
- 2θ 43.52, I 24
- 2θ 48.95, I 8
- 2θ 53.44, I 14
- 2θ 65.64, I 33

Starting from the PBE geometry in the Materials Project, the X-ray diffraction stick pattern of LiInAu2 was computed for Cu Ka.

Cell and atoms:
a b c (Å): 6.6335 6.6335 6.6335
angles (deg): 90.00 90.00 90.00
Atoms (fractional coordinates):
Li 0.0000 0.0000 0.0000
Li 0.0000 0.5000 0.5000
Li 0.5000 0.0000 0.5000
Li 0.5000 0.5000 0.0000
In 0.0000 0.0000 0.5000
In 0.0000 0.5000 0.0000
In 0.5000 0.0000 0.0000
In 0.5000 0.5000 0.5000
Au 0.2500 0.2500 0.2500
Au 0.2500 0.2500 0.7500
Au 0.2500 0.7500 0.2500
Au 0.2500 0.7500 0.7500
Au 0.7500 0.2500 0.2500
Au 0.7500 0.2500 0.7500
Au 0.7500 0.7500 0.2500
Au 0.7500 0.7500 0.7500

Peak list (9 most intense, 5° ≤ 2θ ≤ 70°, by angle)
- 2θ 23.23, I 11
- 2θ 26.88, I 35
- 2θ 38.38, I 100
- 2θ 45.34, I 6
- 2θ 47.48, I 10
- 2θ 55.40, I 17
- 2θ 60.87, I 2
- 2θ 62.63, I 14
- 2θ 69.41, I 35

Starting from the PBE geometry in the Materials Project, the X-ray diffraction stick pattern of LuInAu2 was computed for Cu Ka.

Cell and atoms:
a b c (Å): 6.9326 6.9326 6.9326
angles (deg): 90.00 90.00 90.00
Atoms (fractional coordinates):
Lu 0.0000 0.0000 0.0000
Lu 0.0000 0.5000 0.5000
Lu 0.5000 0.0000 0.5000
Lu 0.5000 0.5000 0.0000
In 0.0000 0.0000 0.5000
In 0.0000 0.5000 0.0000
In 0.5000 0.0000 0.0000
In 0.5000 0.5000 0.5000
Au 0.2500 0.2500 0.2500
Au 0.2500 0.2500 0.7500
Au 0.2500 0.7500 0.2500
Au 0.2500 0.7500 0.7500
Au 0.7500 0.2500 0.2500
Au 0.7500 0.2500 0.7500
Au 0.7500 0.7500 0.2500
Au 0.7500 0.7500 0.7500

Peak list (8 most intense, 5° ≤ 2θ ≤ 70°, by angle)
- 2θ 22.21, I 2
- 2θ 25.70, I 3
- 2θ 36.66, I 100
- 2θ 43.29, I 1
- 2θ 45.31, I 1
- 2θ 52.82, I 18
- 2θ 59.64, I 1
- 2θ 66.02, I 36

Starting from the PBE geometry in the Materials Project, the X-ray diffraction stick pattern of LuInAu was computed for Cu Ka.

Cell and atoms:
a b c (Å): 7.7016 7.7016 3.9258
angles (deg): 90.00 90.00 120.00
Atoms (fractional coordinates):
Lu 0.0000 0.4034 0.0000
Lu 0.4034 0.0000 0.0000
Lu 0.5966 0.5966 0.0000
In 0.0000 0.7376 0.5000
In 0.2624 0.2624 0.5000
In 0.7376 0.0000 0.5000
Au 0.0000 0.0000 0.0000
Au 0.3333 0.6667 0.5000
Au 0.6667 0.3333 0.5000

Peak list (10 most intense, 5° ≤ 2θ ≤ 70°, by angle)
- 2θ 23.10, I 15
- 2θ 32.57, I 87
- 2θ 35.31, I 100
- 2θ 35.61, I 32
- 2θ 40.58, I 55
- 2θ 42.62, I 38
- 2θ 46.25, I 26
- 2θ 59.70, I 14
- 2θ 63.19, I 30
- 2θ 65.47, I 37